No. 1
This entry pairs a crystal structure of Tm3AlTe2 with its computed XRD peak list. Radiation: copper Kα. Structure: DFT lattice parameters and positions (GGA-PBE).

The 8 most intense peaks (15° ≤ 2θ ≤ 90°), by angle:
29.50°, I = 589, hkl 0 2 0
29.55°, I = 1000, hkl 1 0 3
40.57°, I = 200, hkl 0 0 6
42.25°, I = 758, hkl 1 2 3
50.96°, I = 207, hkl 0 2 6
53.82°, I = 191, hkl 2 2 0
61.31°, I = 183, hkl 0 4 0
69.49°, I = 336, hkl 1 4 3

Cell and atoms:
a b c (Å): 4.121 6.053 13.341
angles (deg): 90.00 90.00 90.00
Space group Immm (No. 71)
Asymmetric unit:
Tm  0.000  0.000  0.000
Tm  0.000  0.000  0.344
Al  0.000  0.500  0.000
Te  0.000  0.500  0.328

No. 2
This entry pairs a crystal structure of Er4SbOs with its computed XRD peak list. Radiation: copper Kα. Structure: DFT lattice parameters and positions (GGA-PBE).

The 8 most intense peaks (15° ≤ 2θ ≤ 90°), by angle:
30.20°, I = 336, hkl 1 1 2
31.24°, I = 968, hkl 2 0 -1
32.96°, I = 982, hkl 1 2 -1
33.34°, I = 450, hkl 1 2 1
34.22°, I = 347, hkl 2 1 -1
34.94°, I = 742, hkl 2 1 1
35.28°, I = 1000, hkl 0 2 2
35.71°, I = 901, hkl 1 0 -3

Cell and atoms:
a b c (Å): 6.033 6.509 8.166
angles (deg): 90.00 92.12 90.00
Space group P2_1/m (No. 11)
Asymmetric unit:
Er  0.111  0.001  0.213
Er  0.346  0.250  0.626
Er  0.389  0.750  0.909
Sb  0.195  0.750  0.545
Os  0.198  0.250  0.940

No. 3
This entry pairs a crystal structure of Ti3CrGa4 with its computed XRD peak list. Radiation: copper Kα. Structure: DFT lattice parameters and positions (GGA-PBE).

The 8 most intense peaks (15° ≤ 2θ ≤ 90°), by angle:
39.83°, I = 1000, hkl 2 0 2
43.69°, I = 192, hkl 4 0 0
47.59°, I = 286, hkl 0 2 2
66.57°, I = 192, hkl 4 2 2
69.58°, I = 81, hkl 0 0 4
77.63°, I = 121, hkl 6 0 2
83.29°, I = 187, hkl 2 2 4
85.87°, I = 88, hkl 4 0 4

Cell and atoms:
a b c (Å): 8.288 5.403 5.406
angles (deg): 90.00 90.00 90.00
Space group Pmn2_1 (No. 31)
Asymmetric unit:
Ti  0.000  0.022  0.000
Ti  0.250  0.264  0.272
Cr  0.000  0.485  0.540
Ga  0.000  0.516  0.035
Ga  0.000  0.992  0.508
Ga  0.241  0.759  0.270

No. 4
This entry pairs a crystal structure of TbB4Rh4 with its computed XRD peak list. Radiation: copper Kα. Structure: DFT lattice parameters and positions (GGA-PBE).

The 8 most intense peaks (15° ≤ 2θ ≤ 90°), by angle:
29.15°, I = 423, hkl 1 0 2
33.73°, I = 233, hkl 1 1 2
35.71°, I = 760, hkl 2 0 1
39.62°, I = 1000, hkl 2 1 1
39.91°, I = 731, hkl 1 0 3
45.05°, I = 335, hkl 2 1 2
64.11°, I = 226, hkl 3 2 1
70.94°, I = 291, hkl 2 2 4

Cell and atoms:
a b c (Å): 5.339 5.339 7.479
angles (deg): 90.00 90.00 90.00
Space group P4_2/nmc (No. 137, origin choice 2)
Asymmetric unit:
Tb  0.250  0.750  0.250
B  0.081  0.250  0.101
Rh  0.001  0.750  0.605

No. 5
This entry pairs a crystal structure of CsNaSrBr4 with its computed XRD peak list. Radiation: copper Kα. Structure: DFT lattice parameters and positions (GGA-PBE).

The 8 most intense peaks (15° ≤ 2θ ≤ 90°), by angle:
22.70°, I = 353, hkl 0 2 0
26.39°, I = 1000, hkl 1 2 -1
28.93°, I = 646, hkl 2 1 1
29.06°, I = 307, hkl 1 0 -3
29.96°, I = 378, hkl 0 2 2
31.29°, I = 302, hkl 1 1 -3
35.20°, I = 339, hkl 2 2 1
43.00°, I = 392, hkl 3 2 -2

Cell and atoms:
a b c (Å): 7.976 7.837 9.390
angles (deg): 90.00 101.71 90.00
Space group P2_1/m (No. 11)
Asymmetric unit:
Cs  0.154  0.250  0.079
Na  0.384  0.250  0.685
Sr  0.165  0.750  0.458
Br  0.118  0.002  0.704
Br  0.275  0.750  0.160
Br  0.456  0.250  0.407

No. 6
This entry pairs a crystal structure of La11Al9Ni4 with its computed XRD peak list. Radiation: copper Kα. Structure: DFT lattice parameters and positions (GGA-PBE).

The 8 most intense peaks (15° ≤ 2θ ≤ 90°), by angle:
18.89°, I = 130, hkl 3 1 0
23.35°, I = 278, hkl 0 0 1
24.68°, I = 389, hkl 4 0 0
32.44°, I = 163, hkl 3 3 1
34.23°, I = 1000, hkl 0 6 1
35.19°, I = 322, hkl 4 6 0
36.55°, I = 313, hkl 3 5 1
47.75°, I = 186, hkl 0 0 2

Cell and atoms:
a b c (Å): 14.437 21.627 3.810
angles (deg): 90.00 90.00 90.00
Space group Cmmm (No. 65)
Asymmetric unit:
La  0.000  0.000  0.000
La  0.000  0.164  0.000
La  0.000  0.375  0.000
La  0.188  0.500  0.000
La  0.240  0.174  0.000
Al  0.000  0.500  0.500
Al  0.098  0.270  0.500
Al  0.155  0.067  0.500
Ni  0.160  0.397  0.500